No. 1
PmHf2Rh3: computed X-ray powder pattern (Cu Kα, 1.54184 Å), based on a crystal structure in Alexandria, relaxed with PBE.
Lines closer than 0.1° are merged.

Most intense lines, 5° ≤ 2θ ≤ 70°, low angle first:
8.38°, rel. 11
25.34°, rel. 6
27.16°, rel. 6
37.49°, rel. 100
38.79°, rel. 53
44.06°, rel. 9
52.03°, rel. 6
56.03°, rel. 18
66.76°, rel. 12
69.37°, rel. 33

Crystal structure
```
data_PmHf2Rh3
_chemical_formula_sum 'Pm1 Hf2 Rh3'
_cell_length_a 3.2827
_cell_length_b 3.2827
_cell_length_c 10.5452
_cell_angle_alpha 90.00
_cell_angle_beta 90.00
_cell_angle_gamma 90.00
_space_group_name_H-M_alt 'P 4/m m m'
_space_group_IT_number 123
_space_group_name_Hall '-P 4 2'
loop_
_atom_site_label
_atom_site_fract_x
_atom_site_fract_y
_atom_site_fract_z
Pm1 0.0000 0.0000 0.0000
Hf1 0.0000 0.0000 0.3411
Rh1 0.5000 0.5000 0.2053
Rh2 0.5000 0.5000 0.5000
```

=====

No. 2
CsCe2Se2S: computed X-ray powder pattern (Cu Kα, 1.54184 Å), based on a crystal structure in Alexandria, relaxed with PBE.
Lines closer than 0.1° are merged.

Most intense lines, 5° ≤ 2θ ≤ 70°, low angle first:
11.11°, rel. 69
22.34°, rel. 27
26.32°, rel. 100
28.05°, rel. 70
32.85°, rel. 33
33.88°, rel. 79
41.73°, rel. 50
44.54°, rel. 38
48.66°, rel. 29
57.98°, rel. 31

Crystal structure
```
data_CsCe2Se2S
_chemical_formula_sum 'Cs1 Ce2 Se2 S1'
_cell_length_a 5.2921
_cell_length_b 5.2921
_cell_length_c 7.9608
_cell_angle_alpha 90.00
_cell_angle_beta 90.00
_cell_angle_gamma 90.00
_space_group_name_H-M_alt 'P 4/m m m'
_space_group_IT_number 123
_space_group_name_Hall '-P 4 2'
loop_
_atom_site_label
_atom_site_fract_x
_atom_site_fract_y
_atom_site_fract_z
Cs1 0.0000 0.0000 0.0000
Ce1 0.0000 0.5000 0.5000
Se1 0.5000 0.5000 0.2777
S1 0.0000 0.0000 0.5000
```

=====

No. 3
Cs2As4Au5: computed X-ray powder pattern (Cu Kα, 1.54184 Å), based on a crystal structure in Alexandria, relaxed with PBE.
Lines closer than 0.1° are merged.

Most intense lines, 5° ≤ 2θ ≤ 70°, low angle first:
10.66°, rel. 100
25.31°, rel. 69
25.42°, rel. 71
28.99°, rel. 96
29.50°, rel. 41
30.18°, rel. 42
31.65°, rel. 83
36.06°, rel. 53
43.29°, rel. 50
46.89°, rel. 36

Crystal structure
```
data_Cs2As4Au5
_chemical_formula_sum 'Cs2 As4 Au5'
_cell_length_a 6.2999
_cell_length_b 6.3140
_cell_length_c 9.1549
_cell_angle_alpha 101.98
_cell_angle_beta 107.82
_cell_angle_gamma 104.18
_space_group_name_H-M_alt 'P -1'
_space_group_IT_number 2
loop_
_space_group_symop_operation_xyz
'x,y,z'
'-x,-y,-z'
loop_
_atom_site_label
_atom_site_fract_x
_atom_site_fract_y
_atom_site_fract_z
Cs1 0.0629 0.2565 0.3235
As1 0.3586 0.8357 0.1954
As2 0.3703 0.3947 0.7605
Au1 0.0894 0.3583 0.9063
Au2 0.4504 0.1819 0.0922
Au3 0.5000 0.0000 0.5000
```

=====

No. 4
Pm4Tm2Sn3O2: computed X-ray powder pattern (Cu Kα, 1.54184 Å), based on a crystal structure in Alexandria, relaxed with PBE.
Lines closer than 0.1° are merged.

Most intense lines, 5° ≤ 2θ ≤ 70°, low angle first:
27.40°, rel. 51
28.40°, rel. 16
30.09°, rel. 21
34.14°, rel. 100
35.72°, rel. 15
37.75°, rel. 58
47.91°, rel. 16
52.94°, rel. 20
54.45°, rel. 20
65.86°, rel. 31

Crystal structure
```
data_Pm4Tm2Sn3O2
_chemical_formula_sum 'Pm8 Tm4 Sn6 O4'
_cell_length_a 4.7660
_cell_length_b 4.7660
_cell_length_c 25.1398
_cell_angle_alpha 90.00
_cell_angle_beta 90.00
_cell_angle_gamma 90.00
_space_group_name_H-M_alt 'I 4/m m m'
_space_group_IT_number 139
_space_group_name_Hall '-I 4 2'
loop_
_atom_site_label
_atom_site_fract_x
_atom_site_fract_y
_atom_site_fract_z
Pm1 0.0000 0.5000 0.0844
Tm1 0.0000 0.0000 0.1942
Sn1 0.0000 0.0000 0.3191
Sn2 0.0000 0.0000 0.5000
O1 0.0000 0.0000 0.1067
```

=====

No. 5
CePd2Br6: computed X-ray powder pattern (Cu Kα, 1.54184 Å), based on a crystal structure in Alexandria, relaxed with PBE.
Lines closer than 0.1° are merged.

Most intense lines, 5° ≤ 2θ ≤ 70°, low angle first:
12.30°, rel. 100
13.61°, rel. 47
14.28°, rel. 70
17.09°, rel. 46
27.53°, rel. 30
28.34°, rel. 71
31.33°, rel. 51
33.02°, rel. 26
42.87°, rel. 30
43.59°, rel. 33

Crystal structure
```
data_CePd2Br6
_chemical_formula_sum 'Ce4 Pd8 Br24'
_cell_length_a 15.3797
_cell_length_b 12.4028
_cell_length_c 7.7388
_cell_angle_alpha 90.00
_cell_angle_beta 110.61
_cell_angle_gamma 90.00
_space_group_name_H-M_alt 'C 1 2/c 1'
_space_group_IT_number 15
loop_
_space_group_symop_operation_xyz
'x,y,z'
'-x,-y,-z'
'-x,y,-z+1/2'
'x,-y,z+1/2'
'x+1/2,y+1/2,z'
'-x+1/2,-y+1/2,-z'
'-x+1/2,y+1/2,-z+1/2'
'x+1/2,-y+1/2,z+1/2'
loop_
_atom_site_label
_atom_site_fract_x
_atom_site_fract_y
_atom_site_fract_z
Ce1 0.0000 0.0905 0.2500
Pd1 0.0510 0.4415 0.1399
Br1 0.1095 0.0728 0.6411
Br2 0.1137 0.2409 0.1657
Br3 0.1480 0.4795 0.4717
```

=====

No. 6
Li3PrPb2: computed X-ray powder pattern (Cu Kα, 1.54184 Å), based on a crystal structure in Alexandria, relaxed with PBE.
Lines closer than 0.1° are merged.

Most intense lines, 5° ≤ 2θ ≤ 70°, low angle first:
10.93°, rel. 67
20.99°, rel. 55
24.12°, rel. 51
27.16°, rel. 43
27.73°, rel. 100
31.78°, rel. 37
34.14°, rel. 40
35.96°, rel. 90
36.39°, rel. 42
37.49°, rel. 46

Crystal structure
```
data_Li3PrPb2
_chemical_formula_sum 'Li12 Pr4 Pb8'
_cell_length_a 14.6873
_cell_length_b 4.7973
_cell_length_c 9.1371
_cell_angle_alpha 90.00
_cell_angle_beta 117.64
_cell_angle_gamma 90.00
_space_group_name_H-M_alt 'C 1 2/m 1'
_space_group_IT_number 12
loop_
_space_group_symop_operation_xyz
'x,y,z'
'-x,-y,-z'
'-x,y,-z'
'x,-y,z'
'x+1/2,y+1/2,z'
'-x+1/2,-y+1/2,-z'
'-x+1/2,y+1/2,-z'
'x+1/2,-y+1/2,z'
loop_
_atom_site_label
_atom_site_fract_x
_atom_site_fract_y
_atom_site_fract_z
Li1 0.0531 0.0000 0.3815
Li2 0.0946 0.5000 0.6786
Li3 0.2201 0.5000 0.5363
Pr1 0.1408 0.0000 0.0249
Pb1 0.0456 0.5000 0.1958
Pb2 0.2082 0.0000 0.7210
```

=====

No. 7
ZnAg2PS4: computed X-ray powder pattern (Cu Kα, 1.54184 Å), based on a crystal structure in Alexandria, relaxed with PBE.
Lines closer than 0.1° are merged.

Most intense lines, 5° ≤ 2θ ≤ 70°, low angle first:
25.78°, rel. 95
27.89°, rel. 90
28.15°, rel. 100
28.68°, rel. 87
30.52°, rel. 31
43.76°, rel. 39
43.95°, rel. 42
45.31°, rel. 37
45.74°, rel. 33
47.97°, rel. 29

Crystal structure
```
data_ZnAg2PS4
_chemical_formula_sum 'Zn1 Ag2 P1 S4'
_cell_length_a 5.6257
_cell_length_b 5.8822
_cell_length_c 6.4325
_cell_angle_alpha 66.02
_cell_angle_beta 66.40
_cell_angle_gamma 87.26
_space_group_name_H-M_alt 'P 1'
_space_group_IT_number 1
loop_
_space_group_symop_operation_xyz
'x,y,z'
loop_
_atom_site_label
_atom_site_fract_x
_atom_site_fract_y
_atom_site_fract_z
Zn1 0.0000 0.0000 0.0000
Ag1 0.2622 0.7705 0.4755
Ag2 0.5055 0.5190 0.9774
P1 0.7278 0.2395 0.5061
S1 0.0967 0.6317 0.2324
S2 0.3780 0.3225 0.7348
S3 0.6355 0.1277 0.2677
S4 0.8367 0.9186 0.7394
```

=====

No. 8
RbPr3Te4O12: computed X-ray powder pattern (Cu Kα, 1.54184 Å), based on a crystal structure in Alexandria, relaxed with PBE.
Lines closer than 0.1° are merged.

Most intense lines, 5° ≤ 2θ ≤ 70°, low angle first:
23.39°, rel. 38
26.20°, rel. 100
27.50°, rel. 42
30.53°, rel. 36
34.38°, rel. 14
45.42°, rel. 22
46.22°, rel. 21
49.02°, rel. 21
50.74°, rel. 17
53.18°, rel. 14

Crystal structure
```
data_RbPr3Te4O12
_chemical_formula_sum 'Rb3 Pr9 Te12 O36'
_cell_length_a 12.9751
_cell_length_b 12.9751
_cell_length_c 8.5459
_cell_angle_alpha 90.00
_cell_angle_beta 90.00
_cell_angle_gamma 120.00
_space_group_name_H-M_alt 'R 3 2'
_space_group_IT_number 155
_space_group_name_Hall 'R 3 2"'
loop_
_atom_site_label
_atom_site_fract_x
_atom_site_fract_y
_atom_site_fract_z
Rb1 0.0000 0.0000 0.0000
Pr1 0.0000 0.5556 0.0000
Te1 0.0000 0.0000 0.5000
Te2 0.0000 0.4476 0.5000
O1 0.0000 0.6119 0.5000
O2 0.0000 0.8415 0.5000
O3 0.0460 0.2403 0.1717
```